[1]
The following is a theoretical PXRD pattern of Cs2W3O12. It was derived from DFT lattice parameters and positions (PBE+U), using λ = 1.5418 Å (Cu Kα).
Kinematic intensities with the Lorentz-polarization factor, no thermal factor.

Principal peaks in the range 5 to 70 degrees two-theta, by intensity:
| (hkl) | 2θ (°) | I/Imax |
| --- | --- | --- |
| 0 0 1 | 12.86 | 100 |
| 2 2 1 | 28.15 | 71 |
| 0 2 -1 | 27.60 | 65 |
| 2 0 1 | 28.00 | 46 |
| 2 0 2 | 29.30 | 42 |
| 1 1 -1 | 22.21 | 37 |
| 1 0 2 | 22.37 | 35 |
| 0 0 2 | 25.88 | 34 |
| 1 1 1 | 16.22 | 30 |
| 0 1 1 | 21.49 | 29 |

abc: 7.346 7.531 8.015
angles: 89.67 63.20 61.02
Space group P1 (No. 1)
Inequivalent atoms, fractional coordinates:
1 Cs 0.000 0.000 0.000
2 Cs 0.478 0.277 0.754
3 W 0.279 0.133 0.386
4 W 0.315 0.620 0.327
5 W 0.758 0.638 0.425
6 O 0.155 0.189 0.648
7 O 0.178 0.684 0.624
8 O 0.229 0.913 0.341
9 O 0.379 0.339 0.360
10 O 0.416 0.547 0.076
11 O 0.485 0.083 0.107
12 O 0.536 0.724 0.675
13 O 0.583 0.917 0.383
14 O 0.611 0.545 0.321
15 O 0.949 0.616 0.129
16 O 0.974 0.714 0.431
17 O 0.978 0.348 0.401

***

[2]
The following is a theoretical PXRD pattern of Cs3WO4. It was derived from DFT lattice parameters and positions (PBE+U), using λ = 1.5418 Å (Cu Kα).
Kinematic intensities with the Lorentz-polarization factor, no thermal factor.

Principal peaks in the range 5 to 70 degrees two-theta, by intensity:
| (hkl) | 2θ (°) | I/Imax |
| --- | --- | --- |
| 2 0 0 | 26.30 | 100 |
| 3 2 1 | 46.41 | 25 |
| 0 0 2 | 25.95 | 21 |
| 2 0 2 | 37.26 | 18 |
| 1 2 3 | 45.99 | 17 |
| 4 0 0 | 54.13 | 14 |
| 0 4 0 | 37.83 | 8 |
| 3 2 3 | 60.78 | 7 |
| 2 4 0 | 46.64 | 7 |
| 1 6 1 | 61.57 | 7 |

abc: 6.784 9.513 6.867
angles: 90.00 90.00 90.00
Space group Imm2 (No. 44)
Inequivalent atoms, fractional coordinates:
1 Cs 0.000 0.000 0.000
2 Cs 0.000 0.236 0.480
3 W 0.000 0.500 0.954
4 O 0.000 0.320 0.072
5 O 0.246 0.500 0.827

***

[3]
The following is a theoretical PXRD pattern of CsW2O6. It was derived from DFT lattice parameters and positions (PBE+U), using λ = 1.5418 Å (Cu Kα).
Kinematic intensities with the Lorentz-polarization factor, no thermal factor.

Principal peaks in the range 5 to 70 degrees two-theta, by intensity:
| (hkl) | 2θ (°) | I/Imax |
| --- | --- | --- |
| 3 1 1 | 28.13 | 100 |
| 2 2 2 | 29.41 | 51 |
| 4 4 0 | 48.98 | 38 |
| 3 3 3 | 44.76 | 34 |
| 1 1 1 | 14.58 | 29 |
| 7 3 1 | 68.50 | 24 |
| 6 2 2 | 58.16 | 23 |
| 5 3 3 | 57.43 | 15 |
| 2 2 0 | 23.92 | 13 |
| 4 0 0 | 34.09 | 5 |

abc: 10.521 10.521 10.521
angles: 90.00 90.00 90.00
Space group Fd-3m (No. 227, origin choice 2)
Inequivalent atoms, fractional coordinates:
1 Cs 0.125 0.125 0.125
2 W 0.000 0.000 0.500
3 O 0.061 0.375 0.875

***

[4]
The following is a theoretical PXRD pattern of Cs4WO5. It was derived from DFT lattice parameters and positions (PBE+U), using λ = 1.5418 Å (Cu Kα).
Kinematic intensities with the Lorentz-polarization factor, no thermal factor.

Principal peaks in the range 5 to 70 degrees two-theta, by intensity:
| (hkl) | 2θ (°) | I/Imax |
| --- | --- | --- |
| 1 2 1 | 26.48 | 100 |
| 3 1 0 | 31.52 | 40 |
| 5 0 1 | 53.12 | 33 |
| 3 1 2 | 43.29 | 29 |
| 0 0 2 | 28.90 | 25 |
| 1 2 3 | 49.76 | 18 |
| 2 4 0 | 45.17 | 14 |
| 5 0 3 | 69.45 | 14 |
| 2 4 2 | 54.52 | 13 |
| 1 0 1 | 17.43 | 7 |

abc: 8.977 8.977 6.178
angles: 90.00 90.00 90.00
Space group I4 (No. 79)
Inequivalent atoms, fractional coordinates:
1 Cs 0.112 0.702 0.000
2 W 0.000 0.000 0.546
3 O 0.000 0.000 0.843
4 O 0.066 0.800 0.478

***

[5]
The following is a theoretical PXRD pattern of CsYW2O8. It was derived from DFT lattice parameters and positions (PBE+U), using λ = 1.5418 Å (Cu Kα).
Kinematic intensities with the Lorentz-polarization factor, no thermal factor.

Principal peaks in the range 5 to 70 degrees two-theta, by intensity:
| (hkl) | 2θ (°) | I/Imax |
| --- | --- | --- |
| 2 2 -2 | 28.85 | 100 |
| 2 2 0 | 26.73 | 99 |
| 0 0 2 | 31.00 | 41 |
| 4 0 -4 | 48.23 | 35 |
| 1 3 0 | 26.89 | 34 |
| 3 1 0 | 32.77 | 30 |
| 0 2 0 | 16.40 | 29 |
| 3 1 -2 | 27.56 | 27 |
| 3 5 0 | 53.36 | 22 |
| 0 4 2 | 46.02 | 22 |

abc: 11.101 10.808 7.559
angles: 90.00 130.24 90.00
Space group C2/c (No. 15)
Inequivalent atoms, fractional coordinates:
1 Cs 0.000 0.200 0.250
2 Y 0.000 0.222 0.750
3 W 0.192 0.495 0.713
4 O 0.014 0.391 0.960
5 O 0.144 0.093 0.709
6 O 0.184 0.439 0.435
7 O 0.207 0.149 0.123

***

[6]
The following is a theoretical PXRD pattern of CsYbW2O8. It was derived from DFT lattice parameters and positions (PBE+U), using λ = 1.5418 Å (Cu Kα).
Kinematic intensities with the Lorentz-polarization factor, no thermal factor.

Principal peaks in the range 5 to 70 degrees two-theta, by intensity:
| (hkl) | 2θ (°) | I/Imax |
| --- | --- | --- |
| 0 1 2 | 29.40 | 100 |
| 2 1 0 | 25.11 | 98 |
| 1 0 0 | 9.27 | 94 |
| 2 0 -2 | 29.09 | 43 |
| 3 1 0 | 32.84 | 29 |
| 0 2 0 | 33.80 | 23 |
| 2 2 -2 | 45.18 | 20 |
| 2 0 2 | 31.94 | 20 |
| 2 1 -4 | 54.21 | 19 |
| 4 0 2 | 47.20 | 18 |

abc: 9.582 5.304 7.447
angles: 90.00 95.39 90.00
Space group P2/c (No. 13)
Inequivalent atoms, fractional coordinates:
1 Cs 0.000 0.096 0.250
2 Yb 0.500 0.027 0.250
3 W 0.318 0.475 0.513
4 O 0.150 0.395 0.949
5 O 0.283 0.165 0.606
6 O 0.339 0.363 0.257
7 O 0.464 0.267 0.969

***

[7]
The following is a theoretical PXRD pattern of CsYbW2O8. It was derived from DFT lattice parameters and positions (PBE+U), using λ = 1.5418 Å (Cu Kα).
Kinematic intensities with the Lorentz-polarization factor, no thermal factor.

Principal peaks in the range 5 to 70 degrees two-theta, by intensity:
| (hkl) | 2θ (°) | I/Imax |
| --- | --- | --- |
| 2 2 -2 | 28.80 | 100 |
| 2 2 0 | 26.49 | 100 |
| 0 0 2 | 31.16 | 38 |
| 1 3 0 | 26.66 | 35 |
| 1 3 2 | 46.63 | 31 |
| 4 0 -2 | 32.10 | 25 |
| 3 1 0 | 32.45 | 25 |
| 5 3 0 | 59.69 | 21 |
| 3 5 0 | 52.87 | 20 |
| 5 3 -2 | 47.65 | 20 |

abc: 11.242 10.897 7.543
angles: 90.00 130.44 90.00
Space group C2/c (No. 15)
Inequivalent atoms, fractional coordinates:
1 Cs 0.000 0.201 0.250
2 Yb 0.000 0.222 0.750
3 W 0.192 0.496 0.706
4 O 0.010 0.391 0.956
5 O 0.153 0.101 0.717
6 O 0.183 0.441 0.434
7 O 0.198 0.142 0.121

***

[8]
The following is a theoretical PXRD pattern of Cs2ZrWO6. It was derived from DFT lattice parameters and positions (PBE+U), using λ = 1.5418 Å (Cu Kα).
Kinematic intensities with the Lorentz-polarization factor, no thermal factor.

Principal peaks in the range 5 to 70 degrees two-theta, by intensity:
| (hkl) | 2θ (°) | I/Imax |
| --- | --- | --- |
| 1 1 2 | 26.81 | 100 |
| 3 1 2 | 54.14 | 28 |
| 2 0 0 | 32.15 | 27 |
| 2 0 4 | 43.65 | 22 |
| 0 0 4 | 28.73 | 21 |
| 1 1 6 | 49.73 | 20 |
| 2 2 0 | 46.11 | 15 |
| 2 2 4 | 55.24 | 13 |
| 1 0 1 | 17.45 | 8 |
| 2 0 8 | 69.25 | 8 |

abc: 5.568 5.568 12.431
angles: 90.00 90.00 90.00
Space group I4mm (No. 107)
Inequivalent atoms, fractional coordinates:
1 Cs 0.000 0.500 0.000
2 Zr 0.000 0.000 0.247
3 W 0.000 0.000 0.742
4 O 0.000 0.000 0.399
5 O 0.000 0.000 0.886
6 O 0.237 0.237 0.703